Theoretical X-ray diffraction stick pattern
Compound: Co8N
Radiation: Cu Kα (weighted mean of Kα1 and Kα2)
Structure: a GGA-PBE-relaxed structure

The 6 most intense peaks (10 to 90 degrees two-theta), by angle:
2θ 41.66, rel. 1, (3 1 1)
2θ 43.61, rel. 100, (2 2 2)
2θ 50.79, rel. 51, (4 0 0)
2θ 55.73, rel. 1, (3 3 1)
2θ 67.72, rel. 1, (3 3 3)
2θ 74.68, rel. 29, (4 4 0)

Structure:
Lattice parameters (Å, degrees): 7.1900 7.1900 7.1900 90.00 90.00 90.00
Space group Fm-3m (No. 225)
One atom of each set of equivalent atoms:
1 Co 0.0000 0.0000 0.2400
2 Co 0.2500 0.2500 0.2500
3 N 0.0000 0.0000 0.5000